Entry 1:
Simulated powder diffractogram of Rb3Sr2S2Br3 for CuKα, from DFT lattice parameters and positions (PBE).

Lattice parameters (Å, degrees): 15.3920 15.3920 15.3920 159.65 159.65 28.94
Fractional coordinates of all 10 atoms:
Rb 0.0000 0.0000 0.0000
Rb 0.3888 0.3888 0.0000
Rb 0.6112 0.6112 0.0000
Sr 0.2500 0.7500 0.5000
Sr 0.7500 0.2500 0.5000
S 0.2804 0.2804 0.0000
S 0.7196 0.7196 0.0000
Br 0.1201 0.1201 0.0000
Br 0.5000 0.5000 0.0000
Br 0.8799 0.8799 0.0000

Most intense lines, 2θ from 10° to 90°, in order of rising 2θ:
d (Å), I_rel
3.846, 43
3.725, 100
3.417, 32
2.719, 59
2.676, 17
2.356, 42
2.197, 47
1.923, 21
1.709, 32
1.490, 20


Entry 2:
Simulated powder diffractogram of Rb3U2S5Br2 for CuKα, from DFT lattice parameters and positions (PBE).

Lattice parameters (Å, degrees): 14.6258 14.6258 14.6258 159.35 159.35 29.37
Fractional coordinates of all 12 atoms:
Rb 0.0000 0.0000 0.0000
Rb 0.1781 0.1781 0.0000
Rb 0.8219 0.8219 0.0000
U 0.4083 0.4083 0.0000
U 0.5917 0.5917 0.0000
S 0.0947 0.5947 0.5000
S 0.4053 0.9053 0.5000
S 0.5000 0.5000 0.0000
S 0.5947 0.0947 0.5000
S 0.9053 0.4053 0.5000
Br 0.3041 0.3041 0.0000
Br 0.6959 0.6959 0.0000

Most intense lines, 2θ from 10° to 90°, in order of rising 2θ:
d (Å), I_rel
7.074, 31
5.155, 67
3.846, 76
3.707, 100
3.201, 48
2.830, 29
2.621, 74
2.249, 30
2.166, 34
1.923, 37


Entry 3:
Simulated powder diffractogram of Rb6Sb2Br for CuKα, from DFT lattice parameters and positions (PBE).

Lattice parameters (Å, degrees): 7.8837 7.8837 9.0333 105.60 105.60 59.93
Fractional coordinates of all 9 atoms:
Rb 0.1567 0.6577 0.6711
Rb 0.2114 0.2114 0.8952
Rb 0.3423 0.8433 0.3289
Rb 0.6577 0.1567 0.6711
Rb 0.7886 0.7886 0.1048
Rb 0.8433 0.3423 0.3289
Sb 0.3461 0.3461 0.3096
Sb 0.6539 0.6539 0.6904
Br 0.0000 0.0000 0.0000

Most intense lines, 2θ from 10° to 90°, in order of rising 2θ:
d (Å), I_rel
5.769, 69
3.579, 31
3.406, 100
3.382, 75
3.321, 69
2.976, 83
2.884, 55
2.862, 33
2.659, 30
1.704, 35


Entry 4:
Simulated powder diffractogram of Rb5SbBr8 for CuKα, from DFT lattice parameters and positions (PBE).

Lattice parameters (Å, degrees): 8.7879 8.7879 8.7879 109.87 109.87 108.68
Fractional coordinates of all 14 atoms:
Rb 0.0000 0.0000 0.0000
Rb 0.2366 0.6230 0.1312
Rb 0.3770 0.5082 0.6136
Rb 0.4918 0.1054 0.8688
Rb 0.8946 0.7634 0.3864
Sb 0.7500 0.2500 0.5000
Br 0.0813 0.2456 0.7089
Br 0.0988 0.6956 0.7384
Br 0.3044 0.0428 0.4032
Br 0.5367 0.3723 0.2911
Br 0.6277 0.9187 0.1643
Br 0.6396 0.9012 0.5968
Br 0.7544 0.4633 0.8357
Br 0.9572 0.3604 0.2616

Most intense lines, 2θ from 10° to 90°, in order of rising 2θ:
d (Å), I_rel
7.165, 25
3.235, 48
3.195, 100
2.724, 50
2.710, 31
2.701, 23
2.066, 16
1.990, 15
1.639, 21
1.375, 15


Entry 5:
Simulated powder diffractogram of Rb3SbBr7 for CuKα, from DFT lattice parameters and positions (PBE).

Lattice parameters (Å, degrees): 10.7935 10.7935 7.4771 90.00 90.00 90.00
Fractional coordinates of all 22 atoms:
Rb 0.0000 0.0000 0.0000
Rb 0.1732 0.3268 0.5000
Rb 0.3268 0.8268 0.5000
Rb 0.5000 0.5000 0.0000
Rb 0.6732 0.1732 0.5000
Rb 0.8268 0.6732 0.5000
Sb 0.0000 0.5000 0.0000
Sb 0.5000 0.0000 0.0000
Br 0.0000 0.0000 0.5000
Br 0.1204 0.6204 0.2655
Br 0.1204 0.6204 0.7345
Br 0.1773 0.3227 0.0000
Br 0.3227 0.8227 0.0000
Br 0.3796 0.1204 0.2655
Br 0.3796 0.1204 0.7345
Br 0.5000 0.5000 0.5000
Br 0.6204 0.8796 0.2655
Br 0.6204 0.8796 0.7345
Br 0.6773 0.1773 0.0000
Br 0.8227 0.6773 0.0000
Br 0.8796 0.3796 0.2655
Br 0.8796 0.3796 0.7345

Most intense lines, 2θ from 10° to 90°, in order of rising 2θ:
d (Å), I_rel
7.632, 43
3.816, 38
3.413, 43
2.994, 21
2.956, 100
2.671, 29
2.542, 18
2.188, 25
2.028, 21
1.621, 17


Entry 6:
Simulated powder diffractogram of Rb5Sb2Br12 for CuKα, from DFT lattice parameters and positions (PBE).

Lattice parameters (Å, degrees): 10.4259 10.4259 11.2819 107.01 107.01 46.25
Fractional coordinates of all 19 atoms:
Rb 0.0000 0.0000 0.0000
Rb 0.2946 0.2946 0.1456
Rb 0.3087 0.3087 0.6609
Rb 0.6913 0.6913 0.3391
Rb 0.7054 0.7054 0.8544
Sb 0.2503 0.7497 0.5000
Sb 0.7497 0.2503 0.5000
Br 0.0063 0.0063 0.6802
Br 0.1022 0.5914 0.4287
Br 0.1308 0.5788 0.9332
Br 0.4086 0.8978 0.5713
Br 0.4212 0.8692 0.0668
Br 0.4948 0.4948 0.3160
Br 0.5052 0.5052 0.6840
Br 0.5788 0.1308 0.9332
Br 0.5914 0.1022 0.4287
Br 0.8692 0.4212 0.0668
Br 0.8978 0.4086 0.5713
Br 0.9937 0.9937 0.3198

Most intense lines, 2θ from 10° to 90°, in order of rising 2θ:
d (Å), I_rel
8.362, 45
4.871, 61
4.645, 42
3.268, 78
3.251, 100
3.042, 63
3.030, 89
2.820, 66
2.048, 48
1.656, 41


Entry 7:
Simulated powder diffractogram of Rb3Sb2Br8 for CuKα, from DFT lattice parameters and positions (PBE).

Lattice parameters (Å, degrees): 10.2618 10.2618 10.2618 49.31 49.31 49.31
Fractional coordinates of all 13 atoms:
Rb 0.0000 0.0000 0.0000
Rb 0.2108 0.2108 0.2108
Rb 0.7892 0.7892 0.7892
Sb 0.4386 0.4386 0.4386
Sb 0.5614 0.5614 0.5614
Br 0.1897 0.7449 0.7449
Br 0.2551 0.2551 0.8103
Br 0.2551 0.8103 0.2551
Br 0.3341 0.3341 0.3341
Br 0.6659 0.6659 0.6659
Br 0.7449 0.1897 0.7449
Br 0.7449 0.7449 0.1897
Br 0.8103 0.2551 0.2551

Most intense lines, 2θ from 10° to 90°, in order of rising 2θ:
d (Å), I_rel
4.281, 100
3.575, 42
3.249, 45
3.056, 51
2.998, 60
2.787, 29
2.455, 39
2.155, 28
2.140, 66
1.742, 61


Entry 8:
Simulated powder diffractogram of RbScBr3 for CuKα, from DFT lattice parameters and positions (PBE).

Lattice parameters (Å, degrees): 6.6787 7.2940 7.9442 90.00 99.05 90.00
Fractional coordinates of all 10 atoms:
Rb 0.2122 0.2500 0.4618
Rb 0.7878 0.7500 0.5382
Sc 0.0675 0.7500 0.0607
Sc 0.9325 0.2500 0.9393
Br 0.2032 0.5030 0.8553
Br 0.2032 0.9970 0.8553
Br 0.2685 0.7500 0.3818
Br 0.7315 0.2500 0.6182
Br 0.7968 0.0030 0.1447
Br 0.7968 0.4970 0.1447

Most intense lines, 2θ from 10° to 90°, in order of rising 2θ:
d (Å), I_rel
6.596, 35
3.632, 42
3.303, 100
3.160, 51
3.038, 43
2.881, 49
2.671, 18
2.417, 58
2.103, 21
1.777, 19


Entry 9:
Simulated powder diffractogram of Rb4ScBr6 for CuKα, from DFT lattice parameters and positions (PBE).

Lattice parameters (Å, degrees): 9.4403 9.4403 9.6987 90.00 90.00 90.00
Fractional coordinates of all 22 atoms:
Rb 0.1715 0.3285 0.2500
Rb 0.1715 0.3285 0.7500
Rb 0.3285 0.8285 0.2500
Rb 0.3285 0.8285 0.7500
Rb 0.6715 0.1715 0.2500
Rb 0.6715 0.1715 0.7500
Rb 0.8285 0.6715 0.2500
Rb 0.8285 0.6715 0.7500
Sc 0.0000 0.0000 0.0000
Sc 0.5000 0.5000 0.5000
Br 0.0000 0.0000 0.2816
Br 0.0000 0.0000 0.7184
Br 0.0911 0.7103 0.0000
Br 0.2103 0.5911 0.5000
Br 0.2897 0.0911 0.0000
Br 0.4089 0.2103 0.5000
Br 0.5000 0.5000 0.2184
Br 0.5000 0.5000 0.7816
Br 0.5911 0.7897 0.5000
Br 0.7103 0.9089 0.0000
Br 0.7897 0.4089 0.5000
Br 0.9089 0.2897 0.0000

Most intense lines, 2θ from 10° to 90°, in order of rising 2θ:
d (Å), I_rel
6.765, 20
3.871, 13
3.184, 100
3.059, 13
2.986, 50
2.853, 19
2.749, 19
2.425, 21
2.111, 14
1.882, 19


Entry 10:
Simulated powder diffractogram of RbSc2Br6 for CuKα, from DFT lattice parameters and positions (PBE).

Lattice parameters (Å, degrees): 6.9481 6.9481 7.9203 90.00 90.00 120.00
Fractional coordinates of all 9 atoms:
Rb 0.0000 0.0000 0.0000
Sc 0.3333 0.6667 0.5000
Sc 0.6667 0.3333 0.5000
Br 0.0000 0.3658 0.6996
Br 0.0000 0.6342 0.3004
Br 0.3658 0.0000 0.6996
Br 0.3658 0.3658 0.3004
Br 0.6342 0.0000 0.3004
Br 0.6342 0.6342 0.6996

Most intense lines, 2θ from 10° to 90°, in order of rising 2θ:
d (Å), I_rel
7.920, 25
4.791, 40
3.181, 100
2.612, 72
2.186, 15
2.102, 18
2.006, 31
1.721, 22
1.697, 12
1.591, 12


Entry 11:
Simulated powder diffractogram of Rb2ScBr6 for CuKα, from DFT lattice parameters and positions (PBE).

Lattice parameters (Å, degrees): 7.6108 7.6108 12.6152 90.00 90.00 120.00
Fractional coordinates of all 18 atoms:
Rb 0.0000 0.0000 0.0000
Rb 0.0000 0.0000 0.5000
Rb 0.3333 0.6667 0.2520
Rb 0.6667 0.3333 0.7520
Sc 0.3333 0.6667 0.6276
Sc 0.6667 0.3333 0.1276
Br 0.0075 0.5037 0.5049
Br 0.1671 0.3342 0.7464
Br 0.1671 0.8329 0.7464
Br 0.3342 0.1671 0.2464
Br 0.4963 0.5037 0.5049
Br 0.4963 0.9925 0.5049
Br 0.5037 0.0075 0.0049
Br 0.5037 0.4963 0.0049
Br 0.6658 0.8329 0.7464
Br 0.8329 0.1671 0.2464
Br 0.8329 0.6658 0.2464
Br 0.9925 0.4963 0.0049

Most intense lines, 2θ from 10° to 90°, in order of rising 2θ:
d (Å), I_rel
3.189, 35
3.154, 31
2.921, 100
2.594, 28
2.003, 13
1.903, 28
1.773, 22
1.629, 26
1.594, 16
1.222, 13


Entry 12:
Simulated powder diffractogram of Rb2ScSeBr6 for CuKα, from DFT lattice parameters and positions (PBE).

Lattice parameters (Å, degrees): 8.0180 8.0180 8.0180 115.67 115.67 97.67
Fractional coordinates of all 10 atoms:
Rb 0.2500 0.7500 0.5000
Rb 0.7500 0.2500 0.5000
Sc 0.0000 0.0000 0.0000
Se 0.5000 0.5000 0.0000
Br 0.2174 0.2174 0.4348
Br 0.2174 0.7826 0.0000
Br 0.2596 0.2596 0.0000
Br 0.7404 0.7404 0.0000
Br 0.7826 0.2174 0.0000
Br 0.7826 0.7826 0.5652

Most intense lines, 2θ from 10° to 90°, in order of rising 2θ:
d (Å), I_rel
6.036, 14
3.973, 13
3.319, 100
3.018, 81
2.747, 12
2.639, 31
2.134, 25
1.987, 47
1.795, 22
1.659, 22